The following is a calculated X-ray diffraction stick pattern of Rb3Nb20O34. It was derived from the PBE geometry in the Materials Project, using copper Kα.
Kinematic intensities with the Lorentz-polarization factor, no thermal factor.

Unit cell a=10.534 b=6.083 c=13.566 alpha=90.00 beta=104.92 gamma=90.00
Atoms (fractional coordinates):
Rb (0.000, 0.000, 0.000)
Rb (0.228, 0.500, 0.130)
Rb (0.533, 0.500, 0.002)
Nb (0.052, 0.000, 0.648)
Nb (0.111, 0.000, 0.291)
Nb (0.126, 0.500, 0.831)
Nb (0.189, 0.500, 0.472)
Nb (0.311, 0.000, 0.889)
Nb (0.324, 0.272, 0.649)
Nb (0.324, 0.728, 0.649)
Nb (0.418, 0.272, 0.472)
Nb (0.418, 0.728, 0.472)
Nb (0.431, 0.000, 0.232)
Nb (0.553, 0.500, 0.649)
Nb (0.617, 0.500, 0.290)
Nb (0.628, 0.000, 0.833)
Nb (0.690, 0.000, 0.472)
Nb (0.818, 0.500, 0.887)
Nb (0.824, 0.227, 0.648)
Nb (0.824, 0.773, 0.648)
Nb (0.917, 0.228, 0.473)
Nb (0.917, 0.772, 0.473)
Nb (0.926, 0.500, 0.230)
O (0.003, 0.500, 0.938)
O (0.005, 0.248, 0.191)
O (0.005, 0.752, 0.191)
O (0.016, 0.253, 0.747)
O (0.016, 0.747, 0.747)
O (0.122, 0.251, 0.561)
O (0.122, 0.749, 0.561)
O (0.227, 0.246, 0.377)
O (0.227, 0.754, 0.377)
O (0.242, 0.255, 0.936)
O (0.242, 0.745, 0.936)
O (0.246, 0.000, 0.194)
O (0.263, 0.500, 0.745)
O (0.264, 0.000, 0.743)
O (0.371, 0.000, 0.560)
O (0.478, 0.000, 0.378)
O (0.478, 0.500, 0.376)
O (0.495, 0.261, 0.189)
O (0.495, 0.739, 0.189)
O (0.496, 0.000, 0.928)
O (0.516, 0.246, 0.744)
O (0.516, 0.754, 0.744)
O (0.620, 0.250, 0.560)
O (0.620, 0.750, 0.560)
O (0.724, 0.257, 0.376)
O (0.724, 0.743, 0.376)
O (0.741, 0.500, 0.191)
O (0.744, 0.246, 0.929)
O (0.744, 0.754, 0.929)
O (0.762, 0.000, 0.745)
O (0.765, 0.500, 0.741)
O (0.871, 0.500, 0.560)
O (0.976, 0.500, 0.377)
O (0.982, 0.000, 0.376)

Main lines, by intensity (10° ≤ 2θ ≤ 80°):
2θ 28.32, rel. 100
2θ 37.72, rel. 57
2θ 30.17, rel. 56
2θ 20.29, rel. 47
2θ 45.67, rel. 44
2θ 51.45, rel. 43



The following is a calculated X-ray diffraction stick pattern of Rb3NbO8. It was derived from the PBE geometry in the Materials Project, using copper Kα.
Kinematic intensities with the Lorentz-polarization factor, no thermal factor.

Unit cell a=6.558 b=6.558 c=6.558 alpha=113.34 beta=113.34 gamma=101.99
Atoms (fractional coordinates):
Rb (0.000, 0.000, 0.000)
Rb (0.250, 0.750, 0.500)
Rb (0.750, 0.250, 0.500)
Nb (0.500, 0.500, 0.000)
O (0.182, 0.454, 0.000)
O (0.274, 0.684, 0.000)
O (0.316, 0.316, 0.590)
O (0.454, 0.182, 0.000)
O (0.546, 0.546, 0.728)
O (0.684, 0.274, 0.000)
O (0.726, 0.726, 0.410)
O (0.818, 0.818, 0.272)

Main lines, by intensity (10° ≤ 2θ ≤ 80°):
2θ 27.82, rel. 100
2θ 45.46, rel. 57
2θ 24.71, rel. 46
2θ 35.22, rel. 36
2θ 70.42, rel. 16
2θ 57.47, rel. 16